# 1
LiPO3: calculated powder diffraction line list (Cu Kα), based on DFT lattice parameters and positions (PBE).

Atomic structure:
```
data_LiPO3
_cell_length_a 5.411
_cell_length_b 17.304
_cell_length_c 9.004
_cell_angle_alpha 90.00
_cell_angle_beta 116.99
_cell_angle_gamma 90.00
_space_group_name_H-M_alt 'P 1 21/c 1'
_space_group_IT_number 14
_space_group_name_Hall '-P 2ybc'
loop_
_atom_site_label
_atom_site_type_symbol
_atom_site_fract_x
_atom_site_fract_y
_atom_site_fract_z
Li1 Li 0.075 0.021 0.371
Li2 Li 0.082 0.690 0.275
Li3 Li 0.176 0.657 0.938
P1 P 0.392 0.189 0.911
P2 P 0.396 0.098 0.194
P3 P 0.495 0.063 0.720
O1 O 0.141 0.218 0.761
O2 O 0.170 0.103 0.247
O3 O 0.188 0.060 0.605
O4 O 0.277 0.132 0.008
O5 O 0.308 0.567 0.855
O6 O 0.320 0.630 0.194
O7 O 0.398 0.744 0.468
O8 O 0.426 0.009 0.151
O9 O 0.430 0.632 0.648
```

Top 10 peaks for 5 to 70 degrees two-theta, by intensity:
4.822 Å, I 100, (1 0 0); 3.738 Å, I 81, (1 2 -2); 4.683 Å, I 39, (0 3 1); 2.714 Å, I 26, (0 6 1); 4.011 Å, I 25, (0 0 2); 3.423 Å, I 22, (1 1 1); 2.904 Å, I 21, (1 5 -1); 3.238 Å, I 21, (1 2 1); 2.553 Å, I 21, (0 2 3); 3.918 Å, I 19, (1 3 -1)

# 2
Li3PO4: calculated powder diffraction line list (Cu Kα), based on DFT lattice parameters and positions (PBE).

Atomic structure:
```
data_Li3PO4
_cell_length_a 6.176
_cell_length_b 5.296
_cell_length_c 4.922
_cell_angle_alpha 90.00
_cell_angle_beta 90.00
_cell_angle_gamma 90.00
_space_group_name_H-M_alt 'P m n 21'
_space_group_IT_number 31
_space_group_name_Hall 'P 2ac -2'
loop_
_atom_site_label
_atom_site_type_symbol
_atom_site_fract_x
_atom_site_fract_y
_atom_site_fract_z
Li1 Li 0.000 0.155 0.000
Li2 Li 0.247 0.326 0.499
P1 P 0.000 0.824 0.492
O1 O 0.000 0.104 0.593
O2 O 0.000 0.818 0.176
O3 O 0.207 0.686 0.598
```

Top 10 peaks for 5 to 70 degrees two-theta, by intensity:
3.849 Å, I 100, (1 0 1); 4.021 Å, I 95, (1 1 0); 2.668 Å, I 60, (2 1 0); 3.606 Å, I 57, (0 1 1); 2.461 Å, I 51, (0 0 2); 2.345 Å, I 36, (2 1 1); 2.648 Å, I 33, (0 2 0); 5.296 Å, I 27, (0 1 0); 1.533 Å, I 27, (2 3 0); 1.398 Å, I 25, (2 1 3)

Q: What is the formula in the second record?
A: Li3PO4

Q: Number 2 is which compound?
A: Li3PO4